Record 1
For LiCd6HgPb, DFT lattice parameters and positions (PBE) gives the calculated powder X-ray diffraction pattern in this record (λ = 1.5418 Å (Cu Kα)).
Lines closer than 0.1° are merged.

Crystal structure
```
data_LiCd6HgPb
_space_group_name_H-M_alt 'I m m a'
_space_group_IT_number 74
_space_group_name_Hall '-I 2b 2'
_cell_length_a 6.012
_cell_length_b 9.769
_cell_length_c 16.694
_cell_angle_alpha 90.00
_cell_angle_beta 90.00
_cell_angle_gamma 90.00
loop_
_atom_site_label
_atom_site_fract_x
_atom_site_fract_y
_atom_site_fract_z
Li1 0.250 0.250 0.250
Cd1 0.000 0.250 0.093
Cd2 0.000 0.250 0.705
Cd3 0.249 0.007 0.343
Hg1 0.000 0.000 0.500
Pb1 0.000 0.250 0.912
```

Top 10 peaks for 2θ from 5° to 70°, by angle:
(0 1 1), 2θ 10.49, I 28.2
(1 2 1), 2θ 24.07, I 100.0
(1 0 5), 2θ 30.63, I 54.7
(2 0 2), 2θ 31.63, I 32.5
(2 2 0), 2θ 35.05, I 47.4
(0 4 0), 2θ 36.78, I 74.9
(0 2 6), 2θ 37.19, I 74.0
(2 2 4), 2θ 41.38, I 58.0
(1 4 5), 2θ 48.61, I 30.5
(0 6 6), 2θ 66.54, I 24.5

=====

Record 2
For PdCN, DFT lattice parameters and positions (PBE) gives the calculated powder X-ray diffraction pattern in this record (λ = 1.5418 Å (Cu Kα)).
Lines closer than 0.1° are merged.

Crystal structure
```
data_PdCN
_space_group_name_H-M_alt 'P 6 m m'
_space_group_IT_number 183
_space_group_name_Hall 'P 6 -2'
_cell_length_a 3.0180
_cell_length_b 3.0180
_cell_length_c 5.0931
_cell_angle_alpha 90.00
_cell_angle_beta 90.00
_cell_angle_gamma 120.00
loop_
_atom_site_label
_atom_site_fract_x
_atom_site_fract_y
_atom_site_fract_z
Pd1 0.0000 0.0000 0.0000
C1 0.0000 0.0000 0.3787
N1 0.0000 0.0000 0.6076
```

Top 9 peaks for 2θ from 5° to 70°, by angle:
(0 0 1), 2θ 17.41, I 78.3
(1 0 0), 2θ 34.31, I 100.0
(0 0 2), 2θ 35.24, I 22.0
(1 0 1), 2θ 38.72, I 66.8
(1 0 2), 2θ 50.01, I 47.5
(0 0 3), 2θ 54.01, I 7.1
(1 1 0), 2θ 61.44, I 16.4
(1 1 1), 2θ 64.39, I 15.8
(1 0 3), 2θ 65.57, I 23.2

=====

Record 3
For Tb2PbO2, DFT lattice parameters and positions (PBE) gives the calculated powder X-ray diffraction pattern in this record (λ = 1.5418 Å (Cu Kα)).
Lines closer than 0.1° are merged.

Crystal structure
```
data_Tb2PbO2
_space_group_name_H-M_alt 'I 4/m m m'
_space_group_IT_number 139
_space_group_name_Hall '-I 4 2'
_cell_length_a 3.864
_cell_length_b 3.864
_cell_length_c 14.251
_cell_angle_alpha 90.00
_cell_angle_beta 90.00
_cell_angle_gamma 90.00
loop_
_atom_site_label
_atom_site_fract_x
_atom_site_fract_y
_atom_site_fract_z
Tb1 0.000 0.000 0.170
Pb1 0.000 0.000 0.500
O1 0.000 0.500 0.250
```

Top 10 peaks for 2θ from 5° to 70°, by angle:
(1 0 1), 2θ 23.86, I 1.7
(1 0 3), 2θ 29.81, I 100.0
(1 1 0), 2θ 32.78, I 34.2
(0 0 6), 2θ 37.88, I 11.6
(2 0 0), 2θ 47.04, I 16.2
(1 1 6), 2θ 50.94, I 25.3
(2 1 3), 2θ 56.68, I 33.4
(2 0 6), 2θ 61.91, I 11.5
(1 0 9), 2θ 63.49, I 11.6
(2 2 0), 2θ 68.71, I 5.2